Starting from a cell relaxed with PBE+U, the powder X-ray diffraction pattern of Li2Ni3O3F2 was simulated for λ = 1.5418 Å (Cu Kα).
Lines closer than 0.1° are merged.

Main lines, sorted by position (10° ≤ 2θ ≤ 80°):
h k l	2θ/deg	I/Imax
1 0 3	32.91	52
1 0 5	37.22	51
1 0 7	42.98	28
0 0 10	43.08	51
1 1 0	43.32	100
1 1 2	44.22	18
1 1 10	62.75	57
2 0 0	62.94	28
2 1 5	75.44	15
2 0 10	79.30	34

Structural model:
```
data_Li2Ni3O3F2
_chemical_formula_sum 'Li4 Ni6 O6 F4'
_space_group_name_H-M_alt 'I 4/m m m'
_space_group_IT_number 139
_space_group_name_Hall '-I 4 2'
_cell_length_a 2.9536
_cell_length_b 2.9536
_cell_length_c 20.9964
_cell_angle_alpha 90.00
_cell_angle_beta 90.00
_cell_angle_gamma 90.00
loop_
_atom_site_label
_atom_site_type_symbol
_atom_site_fract_x
_atom_site_fract_y
_atom_site_fract_z
Li1 Li 0.0000 0.0000 0.1995
Ni1 Ni 0.0000 0.0000 0.0000
Ni2 Ni 0.0000 0.0000 0.3998
O1 O 0.0000 0.0000 0.1015
O2 O 0.0000 0.0000 0.5000
F1 F 0.0000 0.0000 0.2968
```



Starting from a cell relaxed with PBE+U, the powder X-ray diffraction pattern of Fe4H14O13 was simulated for λ = 1.5418 Å (Cu Kα).
Lines closer than 0.1° are merged.

Main lines, sorted by position (10° ≤ 2θ ≤ 80°):
h k l	2θ/deg	I/Imax
-1 1 1	22.85	100
1 -1 1	22.97	45
0 0 2	32.46	27
2 0 0	32.65	37
1 2 -2	36.57	20
-1 1 3	52.44	17
1 -1 3	52.68	22
-3 3 1	52.81	23
2 0 2	58.08	18
2 -4 2	58.39	14

Structural model:
```
data_Fe4H14O13
_chemical_formula_sum 'Fe4 H14 O13'
_space_group_name_H-M_alt 'P 1'
_space_group_IT_number 1
_cell_length_a 6.6949
_cell_length_b 6.7249
_cell_length_c 6.7328
_cell_angle_alpha 109.25
_cell_angle_beta 109.57
_cell_angle_gamma 109.19
loop_
_space_group_symop_operation_xyz
'x,y,z'
loop_
_atom_site_label
_atom_site_type_symbol
_atom_site_fract_x
_atom_site_fract_y
_atom_site_fract_z
Fe1 Fe 0.0000 0.0000 0.0000
Fe2 Fe 0.0017 0.4991 0.4955
Fe3 Fe 0.5031 0.9941 0.4934
Fe4 Fe 0.5077 0.5090 0.0018
H1 H 0.0534 0.8647 0.3175
H2 H 0.1273 0.4446 0.1757
H3 H 0.1970 0.2369 0.5524
H4 H 0.2483 0.6927 0.0421
H5 H 0.3476 0.0786 0.9129
H6 H 0.3982 0.6507 0.5439
H7 H 0.4681 0.3709 0.3281
H8 H 0.5502 0.4332 0.5985
H9 H 0.5546 0.8126 0.8575
H10 H 0.6559 0.0770 0.2237
H11 H 0.7615 0.3120 0.9423
H12 H 0.8077 0.7589 0.4470
H13 H 0.8905 0.5633 0.8203
H14 H 0.9540 0.1335 0.6863
O1 O 0.0197 0.6897 0.8200
O2 O 0.1819 0.9979 0.3215
O3 O 0.1979 0.3679 0.6793
O4 O 0.3182 0.1982 0.0125
O5 O 0.3374 0.7707 0.6006
O6 O 0.3679 0.6835 0.1722
O7 O 0.5112 0.4961 0.4873
O8 O 0.6300 0.3111 0.8128
O9 O 0.6852 0.8118 0.9846
O10 O 0.6956 0.1953 0.3844
O11 O 0.8234 0.6442 0.3201
O12 O 0.8250 0.9980 0.6782
O13 O 0.9947 0.3170 0.1715
```



Starting from a cell relaxed with PBE+U, the powder X-ray diffraction pattern of V3O5F was simulated for λ = 1.5418 Å (Cu Kα).
Lines closer than 0.1° are merged.

Main lines, sorted by position (10° ≤ 2θ ≤ 80°):
h k l	2θ/deg	I/Imax
1 -1 0	26.56	94
1 1 2	27.72	100
1 2 0	35.60	48
2 1 0	35.70	45
2 2 1	41.16	19
0 3 0	52.92	26
3 0 0	53.13	26
1 0 4	54.34	56
2 -1 4	68.08	19
4 1 2	68.26	19

Structural model:
```
data_V3O5F
_chemical_formula_sum 'V6 O10 F2'
_space_group_name_H-M_alt 'P -1'
_space_group_IT_number 2
_cell_length_a 5.5231
_cell_length_b 5.5413
_cell_length_c 7.0980
_cell_angle_alpha 72.69
_cell_angle_beta 72.55
_cell_angle_gamma 74.69
loop_
_space_group_symop_operation_xyz
'x,y,z'
'-x,-y,-z'
loop_
_atom_site_label
_atom_site_type_symbol
_atom_site_fract_x
_atom_site_fract_y
_atom_site_fract_z
V1 V 0.0000 0.0000 0.0000
V2 V 0.0000 0.0000 0.5000
V3 V 0.3513 0.3461 0.1512
V4 V 0.3735 0.2920 0.6658
O1 O 0.1036 0.1038 0.7019
O2 O 0.2333 0.2388 0.9591
O3 O 0.2950 0.7100 0.9990
O4 O 0.3635 0.9815 0.3273
O5 O 0.4357 0.4396 0.3691
F1 F 0.0265 0.6275 0.6748
```



Starting from a cell relaxed with PBE+U, the powder X-ray diffraction pattern of Na2Co3O4 was simulated for λ = 1.5418 Å (Cu Kα).
Lines closer than 0.1° are merged.

Main lines, sorted by position (10° ≤ 2θ ≤ 80°):
h k l	2θ/deg	I/Imax
1 1 0	15.64	100
1 1 -1	21.21	12
1 1 1	24.17	31
2 2 -1	33.78	50
4 0 -2	36.15	39
3 1 -2	36.36	12
5 1 0	37.00	55
2 2 1	37.69	23
1 1 2	38.70	24
4 2 1	46.43	14

Structural model:
```
data_Na2Co3O4
_chemical_formula_sum 'Na8 Co12 O16'
_space_group_name_H-M_alt 'C 1 2/c 1'
_space_group_IT_number 15
_cell_length_a 13.8044
_cell_length_b 6.2756
_cell_length_c 5.6649
_cell_angle_alpha 90.00
_cell_angle_beta 107.37
_cell_angle_gamma 90.00
loop_
_space_group_symop_operation_xyz
'x,y,z'
'-x,-y,-z'
'-x,y,-z+1/2'
'x,-y,z+1/2'
'x+1/2,y+1/2,z'
'-x+1/2,-y+1/2,-z'
'-x+1/2,y+1/2,-z+1/2'
'x+1/2,-y+1/2,z+1/2'
loop_
_atom_site_label
_atom_site_type_symbol
_atom_site_fract_x
_atom_site_fract_y
_atom_site_fract_z
Na1 Na 0.1192 0.1192 0.4756
Co1 Co 0.0000 0.4821 0.7500
Co2 Co 0.1831 0.3785 0.0737
O1 O 0.0414 0.2864 0.0442
O2 O 0.2301 0.3680 0.7692
```



Starting from a cell relaxed with PBE+U, the powder X-ray diffraction pattern of Ca5Mn2Ni2O12 was simulated for λ = 1.5418 Å (Cu Kα).
Lines closer than 0.1° are merged.

Main lines, sorted by position (10° ≤ 2θ ≤ 80°):
h k l	2θ/deg	I/Imax
1 1 0	13.92	13
1 1 -1	19.15	100
1 1 2	32.18	29
1 3 -1	33.45	61
2 0 -2	33.56	29
2 2 2	41.24	20
4 0 0	41.39	21
1 1 3	45.88	53
2 4 1	47.08	26
0 2 4	61.61	18

Structural model:
```
data_Ca5Mn2Ni2O12
_chemical_formula_sum 'Ca10 Mn4 Ni4 O24'
_space_group_name_H-M_alt 'C 1 2 1'
_space_group_IT_number 5
_cell_length_a 8.7579
_cell_length_b 9.2909
_cell_length_c 6.3804
_cell_angle_alpha 90.00
_cell_angle_beta 94.40
_cell_angle_gamma 90.00
loop_
_space_group_symop_operation_xyz
'x,y,z'
'-x,y,-z'
'x+1/2,y+1/2,z'
'-x+1/2,y+1/2,-z'
loop_
_atom_site_label
_atom_site_type_symbol
_atom_site_fract_x
_atom_site_fract_y
_atom_site_fract_z
Ca1 Ca 0.0000 0.0000 0.0000
Ca2 Ca 0.1824 0.4638 0.6350
Ca3 Ca 0.1928 0.3203 0.1433
Mn1 Mn 0.2481 0.6421 0.2479
Ni1 Ni 0.0000 0.1423 0.5000
Ni2 Ni 0.0000 0.6399 0.0000
O1 O 0.0607 0.2475 0.7784
O2 O 0.0729 0.5261 0.2806
O3 O 0.1175 0.9873 0.6708
O4 O 0.1346 0.8052 0.1501
O5 O 0.2128 0.1928 0.4590
O6 O 0.2350 0.5806 0.9592
```



Starting from a cell relaxed with PBE+U, the powder X-ray diffraction pattern of LaFe2PbO6 was simulated for λ = 1.5418 Å (Cu Kα).
Lines closer than 0.1° are merged.

Main lines, sorted by position (10° ≤ 2θ ≤ 80°):
h k l	2θ/deg	I/Imax
2 0 0	22.44	36
0 2 0	31.82	24
2 1 1	31.95	100
0 0 2	32.07	24
2 0 2	39.50	13
4 0 0	45.81	40
4 2 0	56.80	27
2 1 3	57.07	33
4 2 2	66.78	14
6 1 1	75.95	15

Structural model:
```
data_LaFe2PbO6
_chemical_formula_sum 'La2 Fe4 Pb2 O12'
_space_group_name_H-M_alt 'P m n 21'
_space_group_IT_number 31
_cell_length_a 7.9241
_cell_length_b 5.6244
_cell_length_c 5.5813
_cell_angle_alpha 90.00
_cell_angle_beta 90.00
_cell_angle_gamma 90.00
loop_
_space_group_symop_operation_xyz
'x,y,z'
'-x+1/2,-y,z+1/2'
'-x,y,z'
'x+1/2,-y,z+1/2'
loop_
_atom_site_label
_atom_site_type_symbol
_atom_site_fract_x
_atom_site_fract_y
_atom_site_fract_z
La1 La 0.0000 0.2186 0.0000
Fe1 Fe 0.2488 0.2539 0.5074
Pb1 Pb 0.0000 0.7220 0.5159
O1 O 0.0000 0.2642 0.4258
O2 O 0.0000 0.7706 0.0928
O3 O 0.2055 0.9640 0.7222
O4 O 0.2068 0.4637 0.7944
```



Starting from a cell relaxed with PBE+U, the powder X-ray diffraction pattern of TiFe5O8 was simulated for λ = 1.5418 Å (Cu Kα).
Lines closer than 0.1° are merged.

Main lines, sorted by position (10° ≤ 2θ ≤ 80°):
h k l	2θ/deg	I/Imax
1 0 4	29.30	22
1 1 0	29.44	16
0 1 5	34.49	30
0 2 1	34.63	100
0 2 4	42.02	26
2 1 4	52.16	11
0 2 7	55.41	9
0 3 3	55.57	31
2 0 8	60.78	29
2 2 0	61.10	30

Structural model:
```
data_TiFe5O8
_chemical_formula_sum 'Ti3 Fe15 O24'
_space_group_name_H-M_alt 'R -3 m'
_space_group_IT_number 166
_space_group_name_Hall '-R 3 2"'
_cell_length_a 6.0672
_cell_length_b 6.0672
_cell_length_c 14.9658
_cell_angle_alpha 90.00
_cell_angle_beta 90.00
_cell_angle_gamma 120.00
loop_
_atom_site_label
_atom_site_type_symbol
_atom_site_fract_x
_atom_site_fract_y
_atom_site_fract_z
Ti1 Ti 0.0000 0.0000 0.0000
Fe1 Fe 0.0000 0.0000 0.3708
Fe2 Fe 0.0000 0.5000 0.5000
O1 O 0.0000 0.0000 0.2426
O2 O 0.0181 0.5090 0.7432
```



Starting from a cell relaxed with PBE+U, the powder X-ray diffraction pattern of Mn3TeO8 was simulated for λ = 1.5418 Å (Cu Kα).
Lines closer than 0.1° are merged.

Main lines, sorted by position (10° ≤ 2θ ≤ 80°):
h k l	2θ/deg	I/Imax
1 0 1	18.04	100
0 1 2	20.73	8
0 1 5	34.30	17
1 1 3	34.78	24
2 0 2	36.55	11
0 2 4	42.18	43
2 1 1	46.61	10
1 2 5	55.78	12
2 0 8	60.55	12
2 2 0	61.81	12

Structural model:
```
data_Mn3TeO8
_chemical_formula_sum 'Mn9 Te3 O24'
_space_group_name_H-M_alt 'R -3 m'
_space_group_IT_number 166
_space_group_name_Hall '-R 3 2"'
_cell_length_a 6.0037
_cell_length_b 6.0037
_cell_length_c 15.1252
_cell_angle_alpha 90.00
_cell_angle_beta 90.00
_cell_angle_gamma 120.00
loop_
_atom_site_label
_atom_site_type_symbol
_atom_site_fract_x
_atom_site_fract_y
_atom_site_fract_z
Mn1 Mn 0.0000 0.5000 0.0000
Te1 Te 0.0000 0.0000 0.5000
O1 O 0.0000 0.0000 0.2753
O2 O 0.0378 0.5189 0.2479
```



Starting from a cell relaxed with PBE+U, the powder X-ray diffraction pattern of MgV4O6F6 was simulated for λ = 1.5418 Å (Cu Kα).
Lines closer than 0.1° are merged.

Main lines, sorted by position (10° ≤ 2θ ≤ 80°):
h k l	2θ/deg	I/Imax
0 0 2	23.70	100
1 1 0	23.91	97
1 -1 0	24.08	100
1 1 2	32.91	29
0 2 0	33.11	28
1 2 -1	40.29	25
0 0 4	48.49	23
2 2 0	48.96	23
2 -2 0	49.31	23
1 -3 0	54.01	29

Structural model:
```
data_MgV4O6F6
_chemical_formula_sum 'Mg1 V4 O6 F6'
_space_group_name_H-M_alt 'P 1'
_space_group_IT_number 1
_cell_length_a 5.0928
_cell_length_b 5.4237
_cell_length_c 7.5276
_cell_angle_alpha 86.09
_cell_angle_beta 89.19
_cell_angle_gamma 89.56
loop_
_space_group_symop_operation_xyz
'x,y,z'
loop_
_atom_site_label
_atom_site_type_symbol
_atom_site_fract_x
_atom_site_fract_y
_atom_site_fract_z
Mg1 Mg 0.0000 0.0000 0.0000
V1 V 0.4602 0.0768 0.3063
V2 V 0.5053 0.0896 0.7663
V3 V 0.9788 0.5689 0.2949
V4 V 0.9971 0.5644 0.8063
O1 O 0.1824 0.8954 0.2257
O2 O 0.1941 0.2624 0.8470
O3 O 0.3970 0.1012 0.5301
O4 O 0.7893 0.9059 0.7602
O5 O 0.7953 0.3096 0.3221
O6 O 0.9117 0.6040 0.0271
F1 F 0.0947 0.5950 0.5476
F2 F 0.2978 0.3923 0.2276
F3 F 0.2983 0.7866 0.8445
F4 F 0.6265 0.0929 0.0458
F5 F 0.6796 0.7844 0.3497
F6 F 0.6880 0.4035 0.7257
```